# CoPtBr4N5Cl
Calculated XRD peak list, Cu Kα (weighted mean of Kα1 and Kα2). Input: a GGA-PBE-relaxed structure.

Main lines, low angle first (2θ from 10° to 80°):
2θ/deg  intensity
10.68  32
13.51  92
14.30  72
17.38  66
19.04  53
19.38  33
19.72  100
28.99  61
30.76  57
34.97  38

Atomic structure:
Lattice parameters (Å, degrees): 18.3227 9.3230 9.2863 90.00 90.00 90.00
Fractional coordinates of all 48 atoms:
Co (0.1995, 0.2500, 0.1823)
Co (0.3005, 0.7500, 0.6823)
Co (0.6995, 0.2500, 0.3177)
Co (0.8005, 0.7500, 0.8177)
Pt (0.2064, 0.2500, 0.5526)
Pt (0.2936, 0.7500, 0.0526)
Pt (0.7064, 0.2500, 0.9474)
Pt (0.7936, 0.7500, 0.4474)
Br (0.0663, 0.2500, 0.6849)
Br (0.1970, 0.5204, 0.5831)
Br (0.1970, 0.9796, 0.5831)
Br (0.2118, 0.7500, 0.2579)
Br (0.2882, 0.2500, 0.7579)
Br (0.3030, 0.0204, 0.0831)
Br (0.3030, 0.4796, 0.0831)
Br (0.4337, 0.7500, 0.1849)
Br (0.5663, 0.2500, 0.8151)
Br (0.6970, 0.5204, 0.9169)
Br (0.6970, 0.9796, 0.9169)
Br (0.7118, 0.7500, 0.2421)
Br (0.7882, 0.2500, 0.7421)
Br (0.8030, 0.0204, 0.4169)
Br (0.8030, 0.4796, 0.4169)
Br (0.9337, 0.7500, 0.3151)
N (0.0028, 0.1902, 0.2553)
N (0.0028, 0.3098, 0.2553)
N (0.1865, 0.2500, 0.3563)
N (0.2059, 0.0917, 0.0874)
N (0.2059, 0.4083, 0.0874)
N (0.2941, 0.5917, 0.5874)
N (0.2941, 0.9083, 0.5874)
N (0.3135, 0.7500, 0.8563)
N (0.4972, 0.6902, 0.7553)
N (0.4972, 0.8098, 0.7553)
N (0.5028, 0.1902, 0.2447)
N (0.5028, 0.3098, 0.2447)
N (0.6865, 0.2500, 0.1437)
N (0.7059, 0.0917, 0.4126)
N (0.7059, 0.4083, 0.4126)
N (0.7941, 0.5917, 0.9126)
N (0.7941, 0.9083, 0.9126)
N (0.8135, 0.7500, 0.6437)
N (0.9972, 0.6902, 0.7447)
N (0.9972, 0.8098, 0.7447)
Cl (0.0256, 0.7500, 0.1546)
Cl (0.4744, 0.2500, 0.6546)
Cl (0.5256, 0.7500, 0.3454)
Cl (0.9744, 0.2500, 0.8454)

# Rb2CrBr2Cl2
Calculated XRD peak list, Cu Kα (weighted mean of Kα1 and Kα2). Input: a GGA-PBE-relaxed structure.

Main lines, low angle first (2θ from 10° to 80°):
2θ/deg  intensity
20.78  19
24.55  100
31.41  52
32.37  92
34.99  83
40.24  19
47.72  47
50.32  28
56.76  20
61.11  27

Atomic structure:
Lattice parameters (Å, degrees): 9.2892 9.2892 7.2465 90.00 90.00 46.00
Fractional coordinates of all 14 atoms:
Rb (0.1352, 0.1352, 0.0000)
Rb (0.3648, 0.3648, 0.5000)
Rb (0.6352, 0.6352, 0.5000)
Rb (0.8648, 0.8648, 0.0000)
Cr (0.0000, 0.0000, 0.5000)
Cr (0.5000, 0.5000, 0.0000)
Br (0.1531, 0.1531, 0.5000)
Br (0.3469, 0.3469, 0.0000)
Br (0.6531, 0.6531, 0.0000)
Br (0.8469, 0.8469, 0.5000)
Cl (0.2395, 0.7605, 0.7403)
Cl (0.2605, 0.7395, 0.2403)
Cl (0.7395, 0.2605, 0.7597)
Cl (0.7605, 0.2395, 0.2597)

# Rb2CrBrCl3
Calculated XRD peak list, Cu Kα (weighted mean of Kα1 and Kα2). Input: a GGA-PBE-relaxed structure.

Main lines, low angle first (2θ from 10° to 80°):
2θ/deg  intensity
10.68  24
23.70  22
24.58  100
32.18  27
32.43  32
32.85  93
35.05  90
48.49  37
50.40  30
61.51  40

Atomic structure:
Lattice parameters (Å, degrees): 7.2432 9.0399 9.0399 47.22 90.00 90.00
Fractional coordinates of all 14 atoms:
Rb (0.0000, 0.0000, 0.0000)
Rb (0.0000, 0.2755, 0.2755)
Rb (0.5000, 0.5000, 0.5000)
Rb (0.5000, 0.7755, 0.7755)
Cr (0.0000, 0.6428, 0.6428)
Cr (0.5000, 0.1428, 0.1428)
Br (0.0000, 0.4839, 0.4839)
Br (0.5000, 0.9839, 0.9839)
Cl (0.0000, 0.7912, 0.7912)
Cl (0.2398, 0.8826, 0.3996)
Cl (0.2602, 0.3826, 0.8996)
Cl (0.5000, 0.2912, 0.2912)
Cl (0.7398, 0.8996, 0.3826)
Cl (0.7602, 0.3996, 0.8826)

# Rb2CrBr2Cl2
Calculated XRD peak list, Cu Kα (weighted mean of Kα1 and Kα2). Input: a GGA-PBE-relaxed structure.

Main lines, low angle first (2θ from 10° to 80°):
2θ/deg  intensity
20.70  20
24.78  100
31.27  31
31.45  23
32.50  94
35.32  83
40.30  20
47.88  35
50.82  28
61.63  28

Atomic structure:
Lattice parameters (Å, degrees): 9.3037 9.3037 9.3037 148.30 148.30 45.44
Fractional coordinates of all 7 atoms:
Rb (0.1355, 0.1355, 0.0000)
Rb (0.8645, 0.8645, 0.0000)
Cr (0.5000, 0.5000, 0.0000)
Br (0.3469, 0.3469, 0.0000)
Br (0.6531, 0.6531, 0.0000)
Cl (0.0000, 0.5000, 0.5000)
Cl (0.5000, 0.0000, 0.5000)